No. 1
# Zr4TiAl
Calculated PXRD pattern, Cu Kα X-rays. Input: a structure optimized by DFT (GGA-PBE).

Top 8 peaks for 2θ from 10° to 90°, most intense first:
two_theta  Rel. int.  index
27.2  100  1 0 4
37.4  97  1 1 0
40.1  74  0 1 8
69.3  27  1 2 8
56.0  27  2 0 8
46.9  22  0 2 4
61.5  19  2 1 4
67.6  16  3 0 0

Crystal structure
```
data_Zr4TiAl
_chemical_formula_sum 'Zr12 Ti3 Al3'
_cell_length_a 4.8032
_cell_length_b 4.8032
_cell_length_c 21.3929
_cell_angle_alpha 90.00
_cell_angle_beta 90.00
_cell_angle_gamma 120.00
_symmetry_space_group_name_H-M 'R -3 m'
_symmetry_Int_Tables_number 166
_symmetry_space_group_name_Hall '-R 3 2"'
loop_
_atom_site_label
_atom_site_fract_x
_atom_site_fract_y
_atom_site_fract_z
_atom_site_occupancy
Zr1 0.0000 0.0000 0.1243 1
Zr2 0.0000 0.0000 0.3660 1
Ti1 0.0000 0.0000 0.0000 1
Al1 0.0000 0.0000 0.5000 1
```

=====

No. 2
# Ce2Be17
Calculated PXRD pattern, Cu Kα X-rays. Input: a structure optimized by DFT (GGA-PBE).

Top 8 peaks for 2θ from 10° to 90°, most intense first:
two_theta  Rel. int.  index
22.8  100  1 1 0
32.9  93  1 1 3
15.2  62  1 0 1
46.9  44  3 0 3
68.3  32  1 4 3
40.0  31  3 0 0
23.4  31  0 0 3
46.6  25  2 2 0

Crystal structure
```
data_Ce2Be17
_chemical_formula_sum 'Ce6 Be51'
_cell_length_a 7.7990
_cell_length_b 7.7990
_cell_length_c 11.4053
_cell_angle_alpha 90.00
_cell_angle_beta 90.00
_cell_angle_gamma 120.00
_symmetry_space_group_name_H-M 'R -3 m'
_symmetry_Int_Tables_number 166
_symmetry_space_group_name_Hall '-R 3 2"'
loop_
_atom_site_label
_atom_site_fract_x
_atom_site_fract_y
_atom_site_fract_z
_atom_site_occupancy
Ce1 0.0000 0.0000 0.1591 1
Be1 0.0000 0.0000 0.4047 1
Be2 0.0000 0.2761 0.5000 1
Be3 0.0000 0.5000 0.0000 1
Be4 0.0078 0.5039 0.3384 1
```

=====

No. 3
# Pu5Mg2Rh4
Calculated PXRD pattern, Cu Kα X-rays. Input: a structure optimized by DFT (GGA-PBE).

Top 8 peaks for 2θ from 10° to 90°, most intense first:
two_theta  Rel. int.  index
36.0  100  1 1 2
36.8  87  5 1 -1
36.6  46  6 0 1
38.0  45  0 2 0
53.8  31  6 2 1
25.0  26  3 1 0
29.2  21  3 1 1
14.8  19  0 0 1

Crystal structure
```
data_Pu5Mg2Rh4
_chemical_formula_sum 'Pu10 Mg4 Rh8'
_cell_length_a 16.168
_cell_length_b 4.738
_cell_length_c 5.969
_cell_angle_alpha 90.00
_cell_angle_beta 90.17
_cell_angle_gamma 90.00
_symmetry_space_group_name_H-M 'C 1 2/m 1'
_symmetry_Int_Tables_number 12
_symmetry_space_group_name_Hall '-C 2y'
loop_
_atom_site_label
_atom_site_fract_x
_atom_site_fract_y
_atom_site_fract_z
_atom_site_occupancy
Pu1 0.000 0.000 0.000 1
Pu2 0.133 0.500 0.142 1
Pu3 0.214 0.500 0.652 1
Mg1 0.087 0.000 0.512 1
Rh1 0.027 0.500 0.719 1
Rh2 0.189 0.000 0.903 1
```

=====

Q: Which formula does entry 2 have?
A: Ce2Be17